# 1
The following is a computed powder diffraction line list of Tl2Cd16Bi. It was derived from a DFT-relaxed cell (PBE, Alexandria), using Cu Kα.
Neutral-atom scattering factors, no anomalous dispersion.

Peak list (8 most intense, 2θ = 10–80°, low angle first)
| (hkl) | 2θ/deg | Rel. int. |
| --- | --- | --- |
| 3 0 0 | 29.33 | 51.3 |
| 0 2 4 | 31.00 | 36.6 |
| 2 2 0 | 34.00 | 69.6 |
| 0 3 3 | 34.56 | 100.0 |
| 2 1 4 | 35.47 | 24.7 |
| 0 0 6 | 36.21 | 29.3 |
| 2 2 3 | 38.67 | 54.4 |
| 6 0 0 | 60.85 | 29.1 |

Structure:
```
data_Tl2Cd16Bi
_cell_length_a 10.5473
_cell_length_b 10.5473
_cell_length_c 14.8864
_cell_angle_alpha 90.00
_cell_angle_beta 90.00
_cell_angle_gamma 120.00
_symmetry_space_group_name_H-M 'R 3 m'
_symmetry_Int_Tables_number 160
_symmetry_space_group_name_Hall 'R 3 -2"'
loop_
_atom_site_label
_atom_site_type_symbol
_atom_site_fract_x
_atom_site_fract_y
_atom_site_fract_z
Tl1 Tl 0.0000 0.0000 0.0000
Tl2 Tl 0.0000 0.0000 0.3041
Cd1 Cd 0.0000 0.0000 0.5405
Cd2 Cd 0.0022 0.3079 0.6460
Cd3 Cd 0.0064 0.5032 0.7974
Cd4 Cd 0.0121 0.5061 0.1445
Cd5 Cd 0.1768 0.3537 0.8283
Bi1 Bi 0.0000 0.0000 0.7527
```

=====

# 2
The following is a computed powder diffraction line list of U3BeTl3S8. It was derived from a DFT-relaxed cell (PBE, Alexandria), using Cu Kα.
Neutral-atom scattering factors, no anomalous dispersion.

Peak list (8 most intense, 2θ = 10–80°, low angle first)
| (hkl) | 2θ/deg | Rel. int. |
| --- | --- | --- |
| 1 1 -1 | 15.07 | 38.9 |
| 0 0 2 | 23.43 | 47.4 |
| 2 2 0 | 26.85 | 62.8 |
| 2 2 -2 | 30.41 | 100.0 |
| 4 0 0 | 31.15 | 42.0 |
| 2 2 2 | 40.79 | 37.0 |
| 6 2 -2 | 47.21 | 28.0 |
| 4 0 2 | 48.10 | 26.8 |

Structure:
```
data_U3BeTl3S8
_cell_length_a 13.117
_cell_length_b 8.139
_cell_length_c 8.672
_cell_angle_alpha 90.00
_cell_angle_beta 118.87
_cell_angle_gamma 90.00
_symmetry_space_group_name_H-M 'C 1 2/m 1'
_symmetry_Int_Tables_number 12
_symmetry_space_group_name_Hall '-C 2y'
loop_
_atom_site_label
_atom_site_type_symbol
_atom_site_fract_x
_atom_site_fract_y
_atom_site_fract_z
U1 U 0.000 0.000 0.000
U2 U 0.250 0.250 0.000
Be1 Be 0.000 0.500 0.000
Tl1 Tl 0.000 0.500 0.500
Tl2 Tl 0.250 0.250 0.500
S1 S 0.021 0.231 0.796
S2 S 0.180 0.500 0.153
S3 S 0.235 0.000 0.199
```

=====

# 3
The following is a computed powder diffraction line list of La12NdDy5. It was derived from a DFT-relaxed cell (PBE, Alexandria), using Cu Kα.
Neutral-atom scattering factors, no anomalous dispersion.

Peak list (8 most intense, 2θ = 10–80°, low angle first)
| (hkl) | 2θ/deg | Rel. int. |
| --- | --- | --- |
| 2 0 1 | 29.15 | 77.7 |
| 0 0 6 | 29.82 | 81.4 |
| 2 0 -3 | 30.28 | 31.9 |
| 1 3 -3 | 30.97 | 100.0 |
| 1 3 3 | 32.57 | 83.6 |
| 2 0 -5 | 35.46 | 47.0 |
| 0 6 0 | 49.40 | 60.6 |
| 3 3 5 | 58.77 | 71.4 |

Structure:
```
data_La12NdDy5
_cell_length_a 6.388
_cell_length_b 11.075
_cell_length_c 18.101
_cell_angle_alpha 90.00
_cell_angle_beta 96.73
_cell_angle_gamma 90.00
_symmetry_space_group_name_H-M 'C 1 2/m 1'
_symmetry_Int_Tables_number 12
_symmetry_space_group_name_Hall '-C 2y'
loop_
_atom_site_label
_atom_site_type_symbol
_atom_site_fract_x
_atom_site_fract_y
_atom_site_fract_z
La1 La 0.112 0.000 0.337
La2 La 0.112 0.333 0.337
La3 La 0.218 0.500 0.165
La4 La 0.221 0.168 0.165
Nd1 Nd 0.000 0.000 0.000
Dy1 Dy 0.000 0.167 0.500
Dy2 Dy 0.000 0.333 0.000
Dy3 Dy 0.000 0.500 0.500
```

=====

# 4
The following is a computed powder diffraction line list of KLi2ZnI6. It was derived from a DFT-relaxed cell (PBE, Alexandria), using Cu Kα.
Neutral-atom scattering factors, no anomalous dispersion.

Peak list (8 most intense, 2θ = 10–80°, low angle first)
| (hkl) | 2θ/deg | Rel. int. |
| --- | --- | --- |
| 0 2 1 | 15.85 | 100.0 |
| 3 1 -2 | 22.75 | 46.2 |
| 1 3 1 | 22.88 | 48.5 |
| 3 3 -1 | 24.37 | 91.7 |
| 0 2 2 | 25.33 | 57.3 |
| 4 0 0 | 26.70 | 55.7 |
| 1 1 2 | 27.16 | 45.2 |
| 3 5 -3 | 41.78 | 46.9 |

Structure:
```
data_KLi2ZnI6
_cell_length_a 15.145
_cell_length_b 15.976
_cell_length_c 8.883
_cell_angle_alpha 90.00
_cell_angle_beta 118.14
_cell_angle_gamma 90.00
_symmetry_space_group_name_H-M 'C 1 2/c 1'
_symmetry_Int_Tables_number 15
_symmetry_space_group_name_Hall '-C 2yc'
loop_
_atom_site_label
_atom_site_type_symbol
_atom_site_fract_x
_atom_site_fract_y
_atom_site_fract_z
K1 K 0.000 0.118 0.250
Li1 Li 0.166 0.413 0.085
Zn1 Zn 0.000 0.169 0.750
I1 I 0.099 0.249 0.039
I2 I 0.122 0.461 0.349
I3 I 0.127 0.067 0.705
```

=====

# 5
The following is a computed powder diffraction line list of Li2Zr2Au3. It was derived from a DFT-relaxed cell (PBE, Alexandria), using Cu Kα.
Neutral-atom scattering factors, no anomalous dispersion.

Peak list (8 most intense, 2θ = 10–80°, low angle first)
| (hkl) | 2θ/deg | Rel. int. |
| --- | --- | --- |
| 1 1 -1 | 27.38 | 81.3 |
| 0 0 4 | 30.49 | 19.7 |
| 1 1 -3 | 33.27 | 16.7 |
| 1 1 3 | 38.35 | 100.0 |
| 0 2 0 | 38.72 | 61.1 |
| 2 0 3 | 50.06 | 20.7 |
| 2 2 -1 | 55.91 | 21.0 |
| 3 1 2 | 69.82 | 27.9 |

Structure:
```
data_Li2Zr2Au3
_cell_length_a 4.647
_cell_length_b 4.655
_cell_length_c 11.953
_cell_angle_alpha 90.00
_cell_angle_beta 101.17
_cell_angle_gamma 90.00
_symmetry_space_group_name_H-M 'C 1 2/m 1'
_symmetry_Int_Tables_number 12
_symmetry_space_group_name_Hall '-C 2y'
loop_
_atom_site_label
_atom_site_type_symbol
_atom_site_fract_x
_atom_site_fract_y
_atom_site_fract_z
Li1 Li 0.062 0.000 0.124
Zr1 Zr 0.205 0.000 0.411
Au1 Au 0.000 0.500 0.000
Au2 Au 0.128 0.500 0.255
```

=====

# 6
The following is a computed powder diffraction line list of Ac2HgBi2O2. It was derived from a DFT-relaxed cell (PBE, Alexandria), using Cu Kα.
Neutral-atom scattering factors, no anomalous dispersion.

Peak list (8 most intense, 2θ = 10–80°, low angle first)
| (hkl) | 2θ/deg | Rel. int. |
| --- | --- | --- |
| 1 0 0 | 24.87 | 24.2 |
| 1 0 1 | 25.65 | 100.0 |
| 1 0 2 | 27.86 | 39.3 |
| 0 0 5 | 31.21 | 62.2 |
| 0 1 4 | 35.45 | 37.8 |
| 1 1 0 | 43.80 | 45.2 |
| 1 0 6 | 45.66 | 23.6 |
| 1 1 5 | 54.76 | 48.8 |

Structure:
```
data_Ac2HgBi2O2
_cell_length_a 4.1337
_cell_length_b 4.1337
_cell_length_c 14.3315
_cell_angle_alpha 90.00
_cell_angle_beta 90.00
_cell_angle_gamma 120.00
_symmetry_space_group_name_H-M 'P -3 m 1'
_symmetry_Int_Tables_number 164
_symmetry_space_group_name_Hall '-P 3 2"'
loop_
_atom_site_label
_atom_site_type_symbol
_atom_site_fract_x
_atom_site_fract_y
_atom_site_fract_z
Ac1 Ac 0.3333 0.6667 0.1137
Hg1 Hg 0.0000 0.0000 0.5000
Bi1 Bi 0.0000 0.0000 0.3020
O1 O 0.3333 0.6667 0.9346
```

=====

Please write out number 2 again, unchanged.
The following is a computed powder diffraction line list of U3BeTl3S8. It was derived from a DFT-relaxed cell (PBE, Alexandria), using Cu Kα.
Neutral-atom scattering factors, no anomalous dispersion.

Peak list (8 most intense, 2θ = 10–80°, low angle first)
| (hkl) | 2θ/deg | Rel. int. |
| --- | --- | --- |
| 1 1 -1 | 15.07 | 38.9 |
| 0 0 2 | 23.43 | 47.4 |
| 2 2 0 | 26.85 | 62.8 |
| 2 2 -2 | 30.41 | 100.0 |
| 4 0 0 | 31.15 | 42.0 |
| 2 2 2 | 40.79 | 37.0 |
| 6 2 -2 | 47.21 | 28.0 |
| 4 0 2 | 48.10 | 26.8 |

Structure:
```
data_U3BeTl3S8
_cell_length_a 13.117
_cell_length_b 8.139
_cell_length_c 8.672
_cell_angle_alpha 90.00
_cell_angle_beta 118.87
_cell_angle_gamma 90.00
_symmetry_space_group_name_H-M 'C 1 2/m 1'
_symmetry_Int_Tables_number 12
_symmetry_space_group_name_Hall '-C 2y'
loop_
_atom_site_label
_atom_site_type_symbol
_atom_site_fract_x
_atom_site_fract_y
_atom_site_fract_z
U1 U 0.000 0.000 0.000
U2 U 0.250 0.250 0.000
Be1 Be 0.000 0.500 0.000
Tl1 Tl 0.000 0.500 0.500
Tl2 Tl 0.250 0.250 0.500
S1 S 0.021 0.231 0.796
S2 S 0.180 0.500 0.153
S3 S 0.235 0.000 0.199
```